Theoretical PXRD pattern of BaPmCrO4 for Cu Kα X-rays, from the PBE+U geometry in Alexandria.
Lines closer than 0.1° are merged.

Structural model:
```
data_BaPmCrO4
_chemical_formula_sum 'Ba2 Pm2 Cr2 O8'
_symmetry_space_group_name_H-M 'I 4 m m'
_symmetry_Int_Tables_number 107
_symmetry_space_group_name_Hall 'I 4 -2'
_cell_length_a 3.961
_cell_length_b 3.961
_cell_length_c 12.729
_cell_angle_alpha 90.00
_cell_angle_beta 90.00
_cell_angle_gamma 90.00
loop_
_atom_site_label
_atom_site_type_symbol
_atom_site_fract_x
_atom_site_fract_y
_atom_site_fract_z
Ba1 Ba 0.000 0.000 0.000
Pm1 Pm 0.000 0.000 0.717
Cr1 Cr 0.000 0.000 0.353
O1 O 0.000 0.000 0.196
O2 O 0.000 0.000 0.530
O3 O 0.000 0.500 0.339
```

The 12 most intense peaks (2θ from 10° to 80°), sorted by position:
2θ (°)  d (Å)  I/Imax  index
23.5  3.782  29  1 0 1
28.0  3.182  16  0 0 4
30.9  2.895  100  1 0 3
32.0  2.801  71  1 1 0
42.2  2.142  12  1 0 5
43.0  2.102  34  1 1 4
45.8  1.980  36  2 0 0
54.2  1.691  14  1 1 6
55.6  1.653  12  1 0 7
56.3  1.635  37  2 1 3
64.4  1.448  11  2 0 6
76.0  1.253  11  3 1 0